Entry 1:
Theoretical powder X-ray diffraction pattern of GaAg3 for copper Kα, from DFT lattice parameters and positions (GGA-PBE).
Neutral-atom scattering factors, no anomalous dispersion.

Cell and atoms:
```
GaAg3
1.0
5.840 0.000 0.000
-2.920 5.058 0.000
0.000 0.000 4.862
Ga Ag
2 6
Direct
0.333 0.667 0.250
0.667 0.333 0.750
0.167 0.335 0.750
0.167 0.833 0.750
0.335 0.167 0.250
0.665 0.833 0.750
0.833 0.167 0.250
0.833 0.665 0.250
```

Most intense lines, 2θ from 10° to 80°, in order of rising 2θ:
d 2.529, 35.50°, intensity 24, hkl 2 0 0
d 2.431, 36.98°, intensity 28, hkl 0 0 2
d 2.243, 40.20°, intensity 100, hkl 2 0 1
d 1.753, 52.19°, intensity 15, hkl 2 0 2
d 1.460, 63.75°, intensity 16, hkl 2 2 0
d 1.365, 68.80°, intensity 19, hkl 2 0 3
d 1.252, 76.04°, intensity 19, hkl 2 2 2
d 1.224, 78.10°, intensity 13, hkl 4 0 1

Entry 2:
Theoretical powder X-ray diffraction pattern of Ga5Ag13 for copper Kα, from DFT lattice parameters and positions (GGA-PBE).
Neutral-atom scattering factors, no anomalous dispersion.

Cell and atoms:
```
Ga5Ag13
1.0
2.974 0.000 0.000
0.041 7.899 0.000
0.016 0.012 13.482
Ga Ag
5 13
Direct
0.000 0.000 0.000
0.000 0.500 0.499
0.250 0.001 0.666
0.251 0.500 0.167
0.751 0.500 0.833
0.253 0.644 0.675
0.253 0.665 0.984
0.254 0.147 0.171
0.254 0.169 0.488
0.254 0.190 0.840
0.254 0.685 0.341
0.748 0.806 0.157
0.748 0.832 0.518
0.749 0.309 0.660
0.749 0.335 0.015
0.749 0.360 0.325
0.750 0.856 0.825
0.751 0.000 0.333
```

Most intense lines, 2θ from 10° to 80°, in order of rising 2θ:
d 2.382, 37.77°, intensity 19, hkl 1 2 0
d 2.370, 37.97°, intensity 96, hkl 1 1 3
d 2.363, 38.08°, intensity 37, hkl 1 -1 3
d 2.272, 39.67°, intensity 100, hkl 0 3 3
d 2.247, 40.14°, intensity 59, hkl 0 0 6
d 2.234, 40.38°, intensity 18, hkl 1 0 4
d 1.632, 56.39°, intensity 13, hkl 1 -2 6
d 1.241, 76.79°, intensity 17, hkl 2 0 6

Entry 3:
Theoretical powder X-ray diffraction pattern of GaAg3 for copper Kα, from DFT lattice parameters and positions (GGA-PBE).
Neutral-atom scattering factors, no anomalous dispersion.

Cell and atoms:
```
GaAg3
1.0
4.135 0.000 0.000
0.000 4.135 0.000
0.000 0.000 4.135
Ga Ag
1 3
Direct
0.000 0.000 0.000
0.000 0.500 0.500
0.500 0.000 0.500
0.500 0.500 0.000
```

Most intense lines, 2θ from 10° to 80°, in order of rising 2θ:
d 4.135, 21.49°, intensity 3, hkl 1 0 0
d 2.924, 30.57°, intensity 2, hkl 1 1 0
d 2.388, 37.68°, intensity 100, hkl 1 1 1
d 2.068, 43.78°, intensity 48, hkl 2 0 0
d 1.849, 49.27°, intensity 1, hkl 2 1 0
d 1.688, 54.34°, intensity 1, hkl 2 1 1
d 1.462, 63.64°, intensity 30, hkl 2 2 0
d 1.247, 76.38°, intensity 35, hkl 3 1 1

Entry 4:
Theoretical powder X-ray diffraction pattern of GaAgGeS4 for copper Kα, from DFT lattice parameters and positions (GGA-PBE).
Neutral-atom scattering factors, no anomalous dispersion.

Cell and atoms:
```
GaAgGeS4
1.0
6.954 0.000 0.000
3.390 6.089 0.000
1.610 2.840 11.732
Ga Ag Ge S
3 3 3 12
Direct
0.000 0.000 0.000
0.235 0.497 0.231
0.494 0.255 0.497
0.163 0.974 0.416
0.325 0.393 0.917
0.655 0.646 0.086
0.249 0.996 0.725
0.731 0.973 0.272
0.743 0.970 0.768
0.088 0.224 0.848
0.109 0.754 0.738
0.184 0.203 0.546
0.301 0.647 0.044
0.372 0.118 0.237
0.391 0.572 0.355
0.596 0.310 0.654
0.606 0.741 0.759
0.684 0.002 0.951
0.802 0.947 0.451
0.863 0.616 0.257
0.888 0.168 0.151
```

Most intense lines, 2θ from 10° to 80°, in order of rising 2θ:
d 5.856, 15.13°, intensity 100, hkl 0 1 1
d 3.490, 25.53°, intensity 91, hkl 1 -1 0
d 3.438, 25.91°, intensity 68, hkl 2 1 1
d 3.186, 28.01°, intensity 64, hkl 2 1 -1
d 2.958, 30.21°, intensity 71, hkl 0 1 -3
d 2.945, 30.35°, intensity 84, hkl 1 1 -3
d 2.934, 30.47°, intensity 67, hkl 0 2 2
d 2.916, 30.66°, intensity 81, hkl 0 1 4